Structure and calculated powder XRD pattern of TaCr3Cu2S8 (a GGA-PBE-relaxed structure; Cu Kα X-rays).

Atomic structure:
```
data_TaCr3Cu2S8
_chemical_formula_sum 'Ta4 Cr12 Cu8 S32'
_cell_length_a 11.965
_cell_length_b 7.027
_cell_length_c 11.411
_cell_angle_alpha 90.00
_cell_angle_beta 90.38
_cell_angle_gamma 90.00
_symmetry_space_group_name_H-M 'P 1'
_symmetry_Int_Tables_number 1
loop_
_symmetry_equiv_pos_as_xyz
'x,y,z'
loop_
_atom_site_label
_atom_site_fract_x
_atom_site_fract_y
_atom_site_fract_z
_atom_site_occupancy
Ta1 0.000 0.090 0.000 1
Ta2 0.000 0.910 0.500 1
Ta3 0.366 0.388 0.477 1
Ta4 0.366 0.612 0.977 1
Cr1 0.222 0.149 0.244 1
Cr2 0.222 0.851 0.744 1
Cr3 0.253 0.374 0.771 1
Cr4 0.253 0.626 0.271 1
Cr5 0.495 0.106 0.711 1
Cr6 0.495 0.894 0.211 1
Cr7 0.715 0.135 0.443 1
Cr8 0.715 0.865 0.943 1
Cr9 0.739 0.380 0.927 1
Cr10 0.739 0.620 0.427 1
Cr11 0.863 0.365 0.210 1
Cr12 0.863 0.635 0.710 1
Cu1 0.359 0.134 0.966 1
Cu2 0.359 0.866 0.466 1
Cu3 0.549 0.395 0.145 1
Cu4 0.549 0.605 0.645 1
Cu5 0.851 0.122 0.706 1
Cu6 0.851 0.878 0.206 1
Cu7 0.998 0.383 0.478 1
Cu8 0.998 0.617 0.978 1
S1 0.035 0.159 0.620 1
S2 0.035 0.841 0.120 1
S3 0.053 0.330 0.133 1
S4 0.053 0.670 0.633 1
S5 0.167 0.112 0.880 1
S6 0.167 0.888 0.380 1
S7 0.178 0.381 0.389 1
S8 0.178 0.619 0.889 1
S9 0.306 0.141 0.636 1
S10 0.306 0.859 0.136 1
S11 0.317 0.396 0.134 1
S12 0.317 0.604 0.634 1
S13 0.399 0.122 0.341 1
S14 0.399 0.878 0.841 1
S15 0.433 0.374 0.849 1
S16 0.433 0.626 0.349 1
S17 0.530 0.110 0.069 1
S18 0.530 0.890 0.569 1
S19 0.553 0.317 0.562 1
S20 0.553 0.683 0.062 1
S21 0.672 0.120 0.807 1
S22 0.672 0.880 0.307 1
S23 0.681 0.375 0.300 1
S24 0.681 0.625 0.800 1
S25 0.802 0.140 0.062 1
S26 0.802 0.860 0.562 1
S27 0.818 0.401 0.564 1
S28 0.818 0.599 0.064 1
S29 0.894 0.110 0.351 1
S30 0.894 0.890 0.851 1
S31 0.917 0.391 0.845 1
S32 0.917 0.609 0.345 1
```

Main lines, sorted by position (2θ = 10–80°):
h k l, 2theta, d [Å], intensity
2 0 0, 14.81, 5.983, 62.3
2 0 -2, 21.42, 4.149, 71.1
3 0 -2, 27.20, 3.279, 49.9
3 0 2, 27.37, 3.259, 65.7
0 2 3, 34.76, 2.581, 100.0
1 2 3, 35.59, 2.523, 87.5
2 2 -3, 37.90, 2.374, 41.6
2 2 3, 38.03, 2.366, 44.7
0 4 0, 52.05, 1.757, 42.1
3 2 5, 53.20, 1.722, 43.1